# MgFe6O10F2
Calculated X-ray powder pattern, Cu Kα (weighted mean of Kα1 and Kα2). Input: DFT lattice parameters and positions (GGA+U).
Kinematic intensities with the Lorentz-polarization factor, no thermal factor.

Principal peaks in the range 2θ from 10° to 80°, low angle first:
- 2θ 24.06, 3.699 Å, rel. 100
- 2θ 27.15, 3.285 Å, rel. 87
- 2θ 35.09, 2.557 Å, rel. 28
- 2θ 35.28, 2.544 Å, rel. 26
- 2θ 35.46, 2.531 Å, rel. 19
- 2θ 35.69, 2.516 Å, rel. 21
- 2θ 35.83, 2.507 Å, rel. 19
- 2θ 41.03, 2.200 Å, rel. 17
- 2θ 54.00, 1.698 Å, rel. 16
- 2θ 55.99, 1.642 Å, rel. 17

Structure:
a = 5.704 Å, b = 5.871 Å, c = 7.630 Å
α = 109.23°, β = 97.75°, γ = 110.79°
Space group P1 (No. 1)
One atom of each set of equivalent atoms:
Mg: 0.000 0.000 0.000
Fe: 0.005 0.047 0.506
Fe: 0.044 0.477 0.954
Fe: 0.351 0.526 0.327
Fe: 0.390 0.038 0.825
Fe: 0.629 0.056 0.183
Fe: 0.692 0.484 0.627
O: 0.053 0.707 0.815
O: 0.111 0.181 0.793
O: 0.317 0.348 0.500
O: 0.370 0.714 0.163
O: 0.399 0.204 0.117
O: 0.610 0.892 0.909
O: 0.671 0.338 0.823
O: 0.705 0.714 0.486
O: 0.773 0.210 0.456
O: 0.990 0.344 0.167
F: 0.250 0.854 0.530
F: 0.920 0.874 0.209

# TiNiO3
Calculated X-ray powder pattern, Cu Kα (weighted mean of Kα1 and Kα2). Input: DFT lattice parameters and positions (GGA+U).
Kinematic intensities with the Lorentz-polarization factor, no thermal factor.

Principal peaks in the range 2θ from 10° to 80°, low angle first:
- 2θ 23.93, 3.719 Å, rel. 36
- 2θ 32.77, 2.733 Å, rel. 100
- 2θ 35.38, 2.537 Å, rel. 77
- 2θ 40.50, 2.227 Å, rel. 27
- 2θ 48.99, 1.859 Å, rel. 38
- 2θ 53.44, 1.715 Å, rel. 59
- 2θ 61.87, 1.500 Å, rel. 33
- 2θ 63.51, 1.465 Å, rel. 35
- 2θ 70.84, 1.330 Å, rel. 14
- 2θ 74.85, 1.269 Å, rel. 8

Structure:
a = 5.0742 Å, b = 5.0742 Å, c = 13.9570 Å
α = 90.00°, β = 90.00°, γ = 120.00°
Space group R-3 (No. 148, hexagonal axes)
One atom of each set of equivalent atoms:
Ti: 0.0000 0.0000 0.1429
Ni: 0.0000 0.0000 0.3500
O: 0.0165 0.7008 0.7533

# KSrMnBiO6
Calculated X-ray powder pattern, Cu Kα (weighted mean of Kα1 and Kα2). Input: DFT lattice parameters and positions (GGA+U).
Kinematic intensities with the Lorentz-polarization factor, no thermal factor.

Principal peaks in the range 2θ from 10° to 80°, low angle first:
- 2θ 18.78, 4.725 Å, rel. 37
- 2θ 21.72, 4.092 Å, rel. 26
- 2θ 30.91, 2.893 Å, rel. 100
- 2θ 36.41, 2.467 Å, rel. 26
- 2θ 44.27, 2.046 Å, rel. 34
- 2θ 48.49, 1.877 Å, rel. 13
- 2θ 49.83, 1.830 Å, rel. 11
- 2θ 54.97, 1.670 Å, rel. 40
- 2θ 64.40, 1.447 Å, rel. 20
- 2θ 73.14, 1.294 Å, rel. 18

Structure:
a = 8.183 Å, b = 8.183 Å, c = 8.183 Å
α = 90.00°, β = 90.00°, γ = 90.00°
Space group F-43m (No. 216)
One atom of each set of equivalent atoms:
K: 0.000 0.000 0.000
Sr: 0.000 0.000 0.500
Mn: 0.250 0.250 0.750
Bi: 0.250 0.250 0.250
O: 0.011 0.250 0.750

# Li2V2P2O11
Calculated X-ray powder pattern, Cu Kα (weighted mean of Kα1 and Kα2). Input: DFT lattice parameters and positions (GGA+U).
Kinematic intensities with the Lorentz-polarization factor, no thermal factor.

Principal peaks in the range 2θ from 10° to 80°, low angle first:
- 2θ 13.10, 6.757 Å, rel. 100
- 2θ 14.97, 5.918 Å, rel. 7
- 2θ 15.90, 5.575 Å, rel. 14
- 2θ 17.78, 4.988 Å, rel. 32
- 2θ 22.31, 3.985 Å, rel. 32
- 2θ 25.39, 3.508 Å, rel. 44
- 2θ 27.50, 3.244 Å, rel. 9
- 2θ 30.20, 2.959 Å, rel. 39
- 2θ 33.05, 2.711 Å, rel. 11
- 2θ 61.73, 1.503 Å, rel. 8

Structure:
a = 7.395 Å, b = 9.870 Å, c = 6.757 Å
α = 90.00°, β = 90.00°, γ = 90.00°
Space group P2_12_12 (No. 18)
One atom of each set of equivalent atoms:
Li: 0.206 0.154 0.034
V: 0.204 0.988 0.460
P: 0.020 0.727 0.711
O: 0.000 0.000 0.294
O: 0.004 0.766 0.927
O: 0.031 0.846 0.565
O: 0.149 0.359 0.645
O: 0.192 0.635 0.694
O: 0.221 0.527 0.318

# Li3MnB2O6
Calculated X-ray powder pattern, Cu Kα (weighted mean of Kα1 and Kα2). Input: DFT lattice parameters and positions (GGA+U).
Kinematic intensities with the Lorentz-polarization factor, no thermal factor.

Principal peaks in the range 2θ from 10° to 80°, low angle first:
- 2θ 17.83, 4.975 Å, rel. 15
- 2θ 18.35, 4.834 Å, rel. 65
- 2θ 21.06, 4.219 Å, rel. 36
- 2θ 22.86, 3.890 Å, rel. 100
- 2θ 31.22, 2.865 Å, rel. 19
- 2θ 36.12, 2.487 Å, rel. 45
- 2θ 39.00, 2.310 Å, rel. 15
- 2θ 40.55, 2.225 Å, rel. 12
- 2θ 52.63, 1.739 Å, rel. 13
- 2θ 55.83, 1.647 Å, rel. 13

Structure:
a = 9.263 Å, b = 6.160 Å, c = 9.280 Å
α = 90.00°, β = 114.52°, γ = 90.00°
Space group P2_1/c (No. 14)
One atom of each set of equivalent atoms:
Li: 0.112 0.238 0.487
Li: 0.211 0.565 0.685
Li: 0.379 0.725 0.080
Mn: 0.273 0.033 0.790
B: 0.053 0.647 0.319
B: 0.445 0.199 0.586
O: 0.087 0.670 0.186
O: 0.088 0.192 0.180
O: 0.185 0.554 0.447
O: 0.318 0.095 0.601
O: 0.407 0.719 0.795
O: 0.425 0.226 0.936

# SrLaNiO4
Calculated X-ray powder pattern, Cu Kα (weighted mean of Kα1 and Kα2). Input: DFT lattice parameters and positions (GGA+U).
Kinematic intensities with the Lorentz-polarization factor, no thermal factor.

Principal peaks in the range 2θ from 10° to 80°, low angle first:
- 2θ 14.20, 6.237 Å, rel. 14
- 2θ 24.11, 3.691 Å, rel. 19
- 2θ 31.61, 2.830 Å, rel. 100
- 2θ 32.78, 2.732 Å, rel. 73
- 2θ 43.16, 2.096 Å, rel. 20
- 2θ 44.07, 2.055 Å, rel. 28
- 2θ 47.03, 1.932 Å, rel. 38
- 2θ 55.55, 1.654 Å, rel. 14
- 2θ 57.78, 1.596 Å, rel. 37
- 2θ 66.01, 1.415 Å, rel. 12

Structure:
a = 3.864 Å, b = 3.864 Å, c = 12.473 Å
α = 90.00°, β = 90.00°, γ = 90.00°
Space group I4mm (No. 107)
One atom of each set of equivalent atoms:
Sr: 0.000 0.000 0.000
La: 0.000 0.000 0.279
Ni: 0.000 0.000 0.637
O: 0.000 0.000 0.469
O: 0.000 0.000 0.803
O: 0.000 0.500 0.146

# MgV2O4
Calculated X-ray powder pattern, Cu Kα (weighted mean of Kα1 and Kα2). Input: DFT lattice parameters and positions (GGA+U).
Kinematic intensities with the Lorentz-polarization factor, no thermal factor.

Principal peaks in the range 2θ from 10° to 80°, low angle first:
- 2θ 17.97, 4.936 Å, rel. 14
- 2θ 29.48, 3.030 Å, rel. 24
- 2θ 29.61, 3.017 Å, rel. 37
- 2θ 34.78, 2.580 Å, rel. 100
- 2θ 34.94, 2.568 Å, rel. 48
- 2θ 42.22, 2.141 Å, rel. 21
- 2θ 55.81, 1.647 Å, rel. 35
- 2θ 56.15, 1.638 Å, rel. 14
- 2θ 61.15, 1.516 Å, rel. 13
- 2θ 61.46, 1.509 Å, rel. 50

Structure:
a = 10.436 Å, b = 6.062 Å, c = 6.047 Å
α = 90.00°, β = 125.40°, γ = 90.00°
Space group C2/m (No. 12)
One atom of each set of equivalent atoms:
Mg: 0.250 0.250 0.000
V: 0.000 0.000 0.000
V: 0.000 0.000 0.500
V: 0.130 0.500 0.381
O: 0.004 0.235 0.753
O: 0.237 0.000 0.226
O: 0.238 0.000 0.750

# Sr2Co2O5
Calculated X-ray powder pattern, Cu Kα (weighted mean of Kα1 and Kα2). Input: DFT lattice parameters and positions (GGA+U).
Kinematic intensities with the Lorentz-polarization factor, no thermal factor.

Principal peaks in the range 2θ from 10° to 80°, low angle first:
- 2θ 31.96, 2.800 Å, rel. 43
- 2θ 33.09, 2.707 Å, rel. 100
- 2θ 40.36, 2.235 Å, rel. 12
- 2θ 45.83, 1.980 Å, rel. 34
- 2θ 49.13, 1.854 Å, rel. 14
- 2θ 57.68, 1.598 Å, rel. 38
- 2θ 59.82, 1.546 Å, rel. 14
- 2θ 66.82, 1.400 Å, rel. 10
- 2θ 69.44, 1.353 Å, rel. 17
- 2θ 76.62, 1.244 Å, rel. 9

Structure:
a = 5.600 Å, b = 5.600 Å, c = 3.709 Å
α = 90.00°, β = 90.00°, γ = 90.00°
Space group P4/mmm (No. 123)
One atom of each set of equivalent atoms:
Sr: 0.000 0.500 0.000
Co: 0.000 0.000 0.500
Co: 0.500 0.500 0.500
O: 0.000 0.000 0.000
O: 0.271 0.271 0.500

# LiVCrP2H2O10
Calculated X-ray powder pattern, Cu Kα (weighted mean of Kα1 and Kα2). Input: DFT lattice parameters and positions (GGA+U).
Kinematic intensities with the Lorentz-polarization factor, no thermal factor.

Principal peaks in the range 2θ from 10° to 80°, low angle first:
- 2θ 17.99, 4.930 Å, rel. 49
- 2θ 18.33, 4.840 Å, rel. 49
- 2θ 18.77, 4.728 Å, rel. 55
- 2θ 25.71, 3.466 Å, rel. 32
- 2θ 26.21, 3.400 Å, rel. 31
- 2θ 26.44, 3.371 Å, rel. 63
- 2θ 27.11, 3.289 Å, rel. 100
- 2θ 29.37, 3.041 Å, rel. 78
- 2θ 36.47, 2.464 Å, rel. 35
- 2θ 55.94, 1.644 Å, rel. 28

Structure:
a = 5.199 Å, b = 7.365 Å, c = 10.197 Å
α = 103.09°, β = 99.74°, γ = 105.49°
Space group P-1 (No. 2)
One atom of each set of equivalent atoms:
Li: 0.148 0.371 0.221
V: 0.245 0.243 0.749
Cr: 0.000 0.000 0.000
Cr: 0.500 0.500 0.500
P: 0.114 0.786 0.563
P: 0.389 0.708 0.937
H: 0.170 0.817 0.154
H: 0.351 0.705 0.358
O: 0.019 0.875 0.156
O: 0.061 0.784 0.407
O: 0.155 0.281 0.392
O: 0.210 0.499 0.842
O: 0.212 0.840 0.912
O: 0.277 0.002 0.653
O: 0.291 0.657 0.588
O: 0.336 0.231 0.103
O: 0.437 0.711 0.094
O: 0.465 0.619 0.337

# LiMnP2HO7
Calculated X-ray powder pattern, Cu Kα (weighted mean of Kα1 and Kα2). Input: DFT lattice parameters and positions (GGA+U).
Kinematic intensities with the Lorentz-polarization factor, no thermal factor.

Principal peaks in the range 2θ from 10° to 80°, low angle first:
- 2θ 19.52, 4.548 Å, rel. 51
- 2θ 19.96, 4.447 Å, rel. 71
- 2θ 20.91, 4.248 Å, rel. 31
- 2θ 27.60, 3.232 Å, rel. 30
- 2θ 29.29, 3.049 Å, rel. 93
- 2θ 29.68, 3.010 Å, rel. 72
- 2θ 29.89, 2.989 Å, rel. 76
- 2θ 30.18, 2.961 Å, rel. 71
- 2θ 31.42, 2.847 Å, rel. 100
- 2θ 32.44, 2.760 Å, rel. 40

Structure:
a = 6.452 Å, b = 8.730 Å, c = 9.942 Å
α = 91.52°, β = 107.86°, γ = 102.10°
Space group P-1 (No. 2)
One atom of each set of equivalent atoms:
Li: 0.186 0.493 0.116
Li: 0.225 0.980 0.625
Mn: 0.141 0.031 0.215
Mn: 0.293 0.577 0.691
P: 0.246 0.777 0.935
P: 0.260 0.288 0.438
P: 0.305 0.753 0.366
P: 0.317 0.257 0.873
H: 0.066 0.706 0.488
H: 0.091 0.220 0.004
O: 0.107 0.892 0.966
O: 0.134 0.404 0.483
O: 0.134 0.637 0.253
O: 0.135 0.116 0.429
O: 0.143 0.132 0.762
O: 0.144 0.608 0.947
O: 0.225 0.773 0.502
O: 0.235 0.294 0.001
O: 0.288 0.797 0.791
O: 0.327 0.315 0.303
O: 0.394 0.917 0.327
O: 0.410 0.409 0.820
O: 0.484 0.832 0.061
O: 0.486 0.326 0.571